No. 1
Na2B3C: calculated X-ray diffraction stick pattern (copper Kα), based on a cell relaxed with GGA-PBE.

Principal peaks in the range 10 to 80 degrees two-theta, low angle first:
2θ 34.4, I 127
2θ 36.2, I 164
2θ 40.5, I 483
2θ 41.9, I 377
2θ 42.0, I 1000
2θ 56.5, I 96
2θ 62.8, I 171
2θ 66.2, I 78
2θ 76.6, I 129
2θ 78.4, I 163

Atomic structure:
Lattice parameters (Å, degrees): 11.716 11.716 10.080 106.54 106.54 13.84
Sites, in units of the cell vectors:
Na: 0.000 0.000 0.000
Na: 0.101 0.101 0.692
Na: 0.198 0.198 0.393
Na: 0.298 0.298 0.095
Na: 0.399 0.399 0.795
Na: 0.500 0.500 0.493
Na: 0.600 0.600 0.197
Na: 0.699 0.699 0.896
Na: 0.798 0.798 0.589
Na: 0.899 0.899 0.294
B: 0.079 0.079 0.402
B: 0.119 0.119 0.986
B: 0.274 0.274 0.795
B: 0.307 0.307 0.361
B: 0.375 0.375 0.496
B: 0.421 0.421 0.091
B: 0.488 0.488 0.221
B: 0.528 0.528 0.801
B: 0.618 0.618 0.481
B: 0.684 0.684 0.614
B: 0.713 0.713 0.173
B: 0.816 0.816 0.881
B: 0.879 0.879 0.007
B: 0.920 0.920 0.584
B: 0.984 0.984 0.713
C: 0.019 0.019 0.281
C: 0.182 0.182 0.110
C: 0.215 0.215 0.677
C: 0.587 0.587 0.921
C: 0.776 0.776 0.299


No. 2
Pr2Sm6Mg: calculated X-ray diffraction stick pattern (copper Kα), based on a cell relaxed with GGA-PBE.

Principal peaks in the range 10 to 80 degrees two-theta, low angle first:
2θ 28.4, I 422
2θ 28.6, I 139
2θ 30.1, I 683
2θ 31.5, I 386
2θ 33.1, I 1000
2θ 41.8, I 227
2θ 50.3, I 440
2θ 56.4, I 299
2θ 59.7, I 320
2θ 61.5, I 167

Atomic structure:
Lattice parameters (Å, degrees): 3.629 3.629 26.742 90.00 90.00 120.00
Sites, in units of the cell vectors:
Pr: 0.000 0.000 0.173
Pr: 0.000 0.000 0.827
Sm: 0.000 0.000 0.397
Sm: 0.000 0.000 0.603
Sm: 0.667 0.333 0.064
Sm: 0.667 0.333 0.289
Sm: 0.667 0.333 0.711
Sm: 0.667 0.333 0.936
Mg: 0.667 0.333 0.500


No. 3
SmHo6Th4: calculated X-ray diffraction stick pattern (copper Kα), based on a cell relaxed with GGA-PBE.

Principal peaks in the range 10 to 80 degrees two-theta, low angle first:
2θ 27.1, I 269
2θ 28.9, I 182
2θ 30.6, I 669
2θ 31.5, I 1000
2θ 31.9, I 153
2θ 33.9, I 368
2θ 36.5, I 429
2θ 41.3, I 178
2θ 54.9, I 202
2θ 63.4, I 264

Atomic structure:
Lattice parameters (Å, degrees): 18.156 18.156 18.156 169.17 161.45 21.53
Sites, in units of the cell vectors:
Sm: 0.000 0.000 0.000
Ho: 0.097 0.597 0.500
Ho: 0.267 0.767 0.500
Ho: 0.369 0.869 0.500
Ho: 0.631 0.131 0.500
Ho: 0.733 0.233 0.500
Ho: 0.903 0.403 0.500
Th: 0.182 0.182 0.000
Th: 0.456 0.456 0.000
Th: 0.544 0.544 0.000
Th: 0.818 0.818 0.000


No. 4
Ho2Ge6Pd: calculated X-ray diffraction stick pattern (copper Kα), based on a cell relaxed with GGA-PBE.

Principal peaks in the range 10 to 80 degrees two-theta, low angle first:
2θ 32.8, I 236
2θ 33.5, I 1000
2θ 37.4, I 164
2θ 42.7, I 163
2θ 43.4, I 185
2θ 44.3, I 234
2θ 45.0, I 224
2θ 63.7, I 117
2θ 65.0, I 147
2θ 74.6, I 139

Atomic structure:
Lattice parameters (Å, degrees): 4.091 11.159 11.159 20.81 90.00 90.00
Sites, in units of the cell vectors:
Ho: 0.000 0.000 0.000
Ho: 0.000 0.341 0.341
Ge: 0.000 0.625 0.625
Ge: 0.000 0.740 0.740
Ge: 0.500 0.127 0.127
Ge: 0.500 0.241 0.241
Ge: 0.500 0.448 0.448
Ge: 0.500 0.876 0.876
Pd: 0.500 0.559 0.559


No. 5
SiHAu2I: calculated X-ray diffraction stick pattern (copper Kα), based on a cell relaxed with GGA-PBE.

Principal peaks in the range 10 to 80 degrees two-theta, low angle first:
2θ 12.0, I 1000
2θ 20.5, I 515
2θ 24.1, I 173
2θ 24.8, I 302
2θ 31.8, I 404
2θ 33.4, I 669
2θ 34.3, I 646
2θ 39.0, I 438
2θ 49.3, I 201
2θ 51.4, I 252

Atomic structure:
Lattice parameters (Å, degrees): 4.356 3.698 7.422 90.00 95.70 90.00
Sites, in units of the cell vectors:
Si: 0.000 0.000 0.000
H: 0.095 0.000 0.812
Au: 0.362 0.000 0.260
Au: 0.670 0.500 0.063
I: 0.490 0.500 0.547


No. 6
Tb7Pm16Nd6: calculated X-ray diffraction stick pattern (copper Kα), based on a cell relaxed with GGA-PBE.

Principal peaks in the range 10 to 80 degrees two-theta, low angle first:
2θ 27.2, I 64
2θ 28.9, I 110
2θ 31.5, I 1000
2θ 33.0, I 57
2θ 43.3, I 59
2θ 45.2, I 140
2θ 56.1, I 261
2θ 59.6, I 55
2θ 65.8, I 72
2θ 74.8, I 69

Atomic structure:
Lattice parameters (Å, degrees): 11.353 11.353 11.353 60.00 60.00 60.00
Sites, in units of the cell vectors:
Tb: 0.000 0.000 0.000
Tb: 0.000 0.000 0.500
Tb: 0.000 0.500 0.000
Tb: 0.000 0.500 0.500
Tb: 0.500 0.000 0.000
Tb: 0.500 0.000 0.500
Tb: 0.500 0.500 0.000
Pm: 0.047 0.651 0.651
Pm: 0.126 0.126 0.126
Pm: 0.126 0.126 0.621
Pm: 0.126 0.621 0.126
Pm: 0.349 0.349 0.349
Pm: 0.349 0.349 0.953
Pm: 0.349 0.953 0.349
Pm: 0.379 0.874 0.874
Pm: 0.621 0.126 0.126
Pm: 0.651 0.047 0.651
Pm: 0.651 0.651 0.047
Pm: 0.651 0.651 0.651
Pm: 0.874 0.379 0.874
Pm: 0.874 0.874 0.379
Pm: 0.874 0.874 0.874
Pm: 0.953 0.349 0.349
Nd: 0.271 0.271 0.729
Nd: 0.271 0.729 0.271
Nd: 0.271 0.729 0.729
Nd: 0.729 0.271 0.271
Nd: 0.729 0.271 0.729
Nd: 0.729 0.729 0.271


No. 7
NaIn2SnHg4: calculated X-ray diffraction stick pattern (copper Kα), based on a cell relaxed with GGA-PBE.

Principal peaks in the range 10 to 80 degrees two-theta, low angle first:
2θ 25.3, I 351
2θ 29.1, I 1000
2θ 29.5, I 482
2θ 41.7, I 386
2θ 41.9, I 754
2θ 51.9, I 407
2θ 68.4, I 179
2θ 68.6, I 177
2θ 69.2, I 171
2θ 76.2, I 265

Atomic structure:
Lattice parameters (Å, degrees): 7.453 7.449 6.133 65.73 65.66 48.61
Sites, in units of the cell vectors:
Na: 0.000 0.000 0.000
In: 0.500 0.500 0.500
In: 0.750 0.750 0.750
Sn: 0.250 0.250 0.250
Hg: 0.002 0.002 0.498
Hg: 0.254 0.254 0.746
Hg: 0.498 0.498 0.002
Hg: 0.746 0.746 0.254


No. 8
K3Na2Br3Cl2: calculated X-ray diffraction stick pattern (copper Kα), based on a cell relaxed with GGA-PBE.

Principal peaks in the range 10 to 80 degrees two-theta, low angle first:
2θ 23.5, I 501
2θ 23.8, I 482
2θ 25.8, I 1000
2θ 26.5, I 256
2θ 35.4, I 344
2θ 36.8, I 579
2θ 39.9, I 590
2θ 44.3, I 343
2θ 62.1, I 287
2θ 68.4, I 307

Atomic structure:
Lattice parameters (Å, degrees): 15.322 15.322 15.322 161.66 161.66 26.05
Sites, in units of the cell vectors:
K: 0.000 0.000 0.000
K: 0.391 0.391 0.000
K: 0.609 0.609 0.000
Na: 0.250 0.750 0.500
Na: 0.750 0.250 0.500
Br: 0.113 0.113 0.000
Br: 0.500 0.500 0.000
Br: 0.887 0.887 0.000
Cl: 0.285 0.285 0.000
Cl: 0.715 0.715 0.000


No. 9
Tb2Tl3Br9: calculated X-ray diffraction stick pattern (copper Kα), based on a cell relaxed with GGA-PBE.

Principal peaks in the range 10 to 80 degrees two-theta, low angle first:
2θ 11.7, I 281
2θ 18.8, I 211
2θ 20.2, I 204
2θ 22.3, I 306
2θ 23.6, I 188
2θ 27.5, I 269
2θ 29.3, I 1000
2θ 37.7, I 204
2θ 38.1, I 416
2θ 49.8, I 235

Atomic structure:
Lattice parameters (Å, degrees): 10.274 10.274 10.274 84.38 84.38 84.38
Sites, in units of the cell vectors:
Tb: 0.146 0.146 0.146
Tb: 0.354 0.354 0.354
Tb: 0.646 0.646 0.646
Tb: 0.854 0.854 0.854
Tl: 0.038 0.750 0.462
Tl: 0.250 0.538 0.962
Tl: 0.462 0.038 0.750
Tl: 0.538 0.962 0.250
Tl: 0.750 0.462 0.038
Tl: 0.962 0.250 0.538
Br: 0.063 0.280 0.922
Br: 0.078 0.937 0.720
Br: 0.095 0.405 0.250
Br: 0.220 0.437 0.578
Br: 0.250 0.095 0.405
Br: 0.280 0.922 0.063
Br: 0.405 0.250 0.095
Br: 0.422 0.780 0.563
Br: 0.437 0.578 0.220
Br: 0.563 0.422 0.780
Br: 0.578 0.220 0.437
Br: 0.595 0.750 0.905
Br: 0.720 0.078 0.937
Br: 0.750 0.905 0.595
Br: 0.780 0.563 0.422
Br: 0.905 0.595 0.750
Br: 0.922 0.063 0.280
Br: 0.937 0.720 0.078


No. 10
CsTlHg2Cl8: calculated X-ray diffraction stick pattern (copper Kα), based on a cell relaxed with GGA-PBE.

Principal peaks in the range 10 to 80 degrees two-theta, low angle first:
2θ 19.0, I 1000
2θ 19.7, I 415
2θ 21.9, I 229
2θ 26.5, I 198
2θ 26.6, I 146
2θ 30.5, I 201
2θ 31.4, I 197
2θ 32.4, I 184
2θ 35.0, I 115
2θ 42.7, I 213

Atomic structure:
Lattice parameters (Å, degrees): 6.777 6.779 9.912 83.33 72.30 87.85
Sites, in units of the cell vectors:
Cs: 0.000 0.000 0.000
Tl: 0.000 0.000 0.500
Hg: 0.472 0.485 0.290
Hg: 0.528 0.515 0.710
Cl: 0.151 0.807 0.673
Cl: 0.252 0.340 0.510
Cl: 0.280 0.871 0.278
Cl: 0.281 0.449 0.933
Cl: 0.719 0.551 0.067
Cl: 0.720 0.129 0.722
Cl: 0.748 0.660 0.490
Cl: 0.849 0.193 0.327


No. 11
Li2PmCr2N4: calculated X-ray diffraction stick pattern (copper Kα), based on a cell relaxed with GGA-PBE.

Principal peaks in the range 10 to 80 degrees two-theta, low angle first:
2θ 17.3, I 1000
2θ 29.6, I 251
2θ 34.2, I 269
2θ 35.0, I 111
2θ 35.3, I 269
2θ 39.1, I 297
2θ 41.2, I 97
2θ 41.6, I 173
2θ 44.4, I 113
2θ 54.7, I 107

Atomic structure:
Lattice parameters (Å, degrees): 5.412 5.412 8.188 120.81 120.81 35.20
Sites, in units of the cell vectors:
Li: 0.128 0.128 0.225
Li: 0.872 0.872 0.775
Pm: 0.000 0.000 0.500
Cr: 0.341 0.341 0.121
Cr: 0.659 0.659 0.879
N: 0.237 0.237 0.842
N: 0.464 0.464 0.697
N: 0.536 0.536 0.303
N: 0.763 0.763 0.158


No. 12
Ba2BiRu: calculated X-ray diffraction stick pattern (copper Kα), based on a cell relaxed with GGA-PBE.

Principal peaks in the range 10 to 80 degrees two-theta, low angle first:
2θ 15.2, I 943
2θ 24.0, I 1000
2θ 24.1, I 398
2θ 30.7, I 431
2θ 34.4, I 804
2θ 35.8, I 426
2θ 42.2, I 489
2θ 47.8, I 276
2θ 53.0, I 289
2θ 66.9, I 210

Atomic structure:
Lattice parameters (Å, degrees): 11.664 11.664 5.265 90.00 90.00 90.00
Sites, in units of the cell vectors:
Ba: 0.079 0.250 0.125
Ba: 0.250 0.579 0.375
Ba: 0.250 0.921 0.875
Ba: 0.421 0.250 0.625
Ba: 0.579 0.750 0.625
Ba: 0.750 0.079 0.875
Ba: 0.750 0.421 0.375
Ba: 0.921 0.750 0.125
Bi: 0.000 0.000 0.500
Bi: 0.000 0.500 0.750
Bi: 0.500 0.000 0.250
Bi: 0.500 0.500 0.000
Ru: 0.000 0.000 0.000
Ru: 0.000 0.500 0.250
Ru: 0.500 0.000 0.750
Ru: 0.500 0.500 0.500